No. 1
Starting from a PBE-relaxed structure, the powder diffraction line list of Th2Cd3Pb3 was calculated for Cu Kα, 1.54184 Å.
Lines closer than 0.1° are merged.

Cell and atoms:
```
8
Lattice="4.7960 0.0000 0.0000 0.0000 4.9311 0.0000 0.0000 0.0000 9.2998" Properties=species:S:1:pos:R:3 pbc="T T T"
Th 0.0000 0.0000 2.3071
Th 0.0000 0.0000 6.9927
Cd 0.0000 2.4656 4.6499
Cd 2.3980 2.4656 2.4385
Cd 2.3980 2.4656 6.8613
Pb 0.0000 2.4656 0.0000
Pb 2.3980 0.0000 0.0000
Pb 2.3980 0.0000 4.6499
```

Most intense lines, 2θ = 10–90°, most intense first:
- 32.39 deg, rel. 100
- 36.44 deg, rel. 18
- 37.51 deg, rel. 17
- 63.04 deg, rel. 15
- 38.73 deg, rel. 15
- 64.46 deg, rel. 14
- 66.13 deg, rel. 13
- 53.29 deg, rel. 12

No. 2
Starting from a PBE-relaxed structure, the powder diffraction line list of Nd8NiPt3Cl4 was calculated for Cu Kα, 1.54184 Å.
Lines closer than 0.1° are merged.

Cell and atoms:
```
16
Lattice="7.2133 -4.1663 0.0000 7.2133 4.1663 0.0000 -4.8195 0.0000 7.4494" Properties=species:S:1:pos:R:3 pbc="T T T"
Nd -0.0585 0.0000 5.2625
Nd 3.6298 2.1310 5.2618
Nd 5.9773 2.1310 2.1876
Nd 2.3982 0.0000 2.1561
Nd 7.2089 0.0000 5.2933
Nd 3.6298 -2.1310 5.2618
Nd 5.9773 -2.1310 2.1876
Nd 9.6656 0.0000 2.1869
Ni -2.4097 0.0000 3.7247
Pt 1.1969 2.0831 3.7247
Pt 1.1969 -2.0831 3.7247
Pt 4.8035 0.0000 3.7247
Cl 0.0000 0.0000 0.0000
Cl 3.6066 2.0831 0.0000
Cl 3.6066 -2.0831 0.0000
Cl 7.2133 0.0000 0.0000
```

Most intense lines, 2θ = 10–90°, most intense first:
- 29.47 deg, rel. 100
- 11.88 deg, rel. 48
- 43.45 deg, rel. 37
- 40.86 deg, rel. 32
- 37.62 deg, rel. 21
- 53.38 deg, rel. 19
- 71.18 deg, rel. 16
- 51.63 deg, rel. 13

No. 3
Starting from a PBE-relaxed structure, the powder diffraction line list of Rb3SmF6 was calculated for Cu Kα, 1.54184 Å.
Lines closer than 0.1° are merged.

Cell and atoms:
```
10
Lattice="-3.6534 3.6534 4.8523 3.6534 -3.6534 4.8523 3.6534 3.6534 -4.8523" Properties=species:S:1:pos:R:3 pbc="T T T"
Rb 0.0000 0.0000 0.0000
Rb 3.6534 0.0000 2.4262
Rb 0.0000 3.6534 2.4262
Sm 0.0000 0.0000 4.8523
F 3.6534 1.4122 0.0000
F 0.0000 0.0000 2.5796
F 1.4122 3.6534 0.0000
F 2.2412 0.0000 4.8523
F 0.0000 0.0000 7.1251
F 0.0000 2.2412 4.8523
```

Most intense lines, 2θ = 10–90°, most intense first:
- 24.36 deg, rel. 100
- 25.18 deg, rel. 100
- 43.37 deg, rel. 61
- 44.85 deg, rel. 37
- 34.73 deg, rel. 28
- 15.18 deg, rel. 25
- 37.05 deg, rel. 21
- 51.69 deg, rel. 18

No. 4
Starting from a PBE-relaxed structure, the powder diffraction line list of ScCoSN2 was calculated for Cu Kα, 1.54184 Å.
Lines closer than 0.1° are merged.

Cell and atoms:
```
5
Lattice="3.6911 0.0000 0.0000 0.0000 3.6911 0.0000 0.0000 0.0000 4.6160" Properties=species:S:1:pos:R:3 pbc="T T T"
Sc 0.0000 0.0000 0.0000
Co 1.8456 1.8456 2.3080
S 1.8456 1.8456 0.0000
N 0.0000 1.8456 2.3080
N 1.8456 0.0000 2.3080
```

Most intense lines, 2θ = 10–90°, most intense first:
- 31.02 deg, rel. 100
- 34.36 deg, rel. 88
- 39.03 deg, rel. 66
- 49.38 deg, rel. 61
- 52.96 deg, rel. 49
- 64.67 deg, rel. 49
- 24.11 deg, rel. 47
- 59.47 deg, rel. 28

No. 5
Starting from a PBE-relaxed structure, the powder diffraction line list of CsTe2SeS2 was calculated for Cu Kα, 1.54184 Å.
Lines closer than 0.1° are merged.

Cell and atoms:
```
12
Lattice="7.5047 0.0000 0.0000 0.0000 8.3356 0.0000 -0.4491 0.0000 8.3246" Properties=species:S:1:pos:R:3 pbc="T T T"
Cs 1.7307 2.0839 0.4129
Cs 5.3249 6.2517 7.9117
Te 0.9798 0.0601 5.0931
Te 0.9798 4.1077 5.0931
Te 6.0758 4.2279 3.2316
Te 6.0758 8.2755 3.2316
Se 1.9970 6.2517 0.2926
Se 5.0586 2.0839 8.0321
S 2.0972 2.0839 4.2458
S 2.0297 6.2517 6.4835
S 5.0259 2.0839 1.8412
S 4.9584 6.2517 4.0788
```

Most intense lines, 2θ = 10–90°, most intense first:
- 23.88 deg, rel. 100
- 34.35 deg, rel. 39
- 23.75 deg, rel. 38
- 26.45 deg, rel. 29
- 15.48 deg, rel. 28
- 33.03 deg, rel. 22
- 38.14 deg, rel. 22
- 25.03 deg, rel. 20

No. 6
Starting from a PBE-relaxed structure, the powder diffraction line list of ReSbOF9 was calculated for Cu Kα, 1.54184 Å.
Lines closer than 0.1° are merged.

Cell and atoms:
```
48
Lattice="5.8027 0.0000 0.0000 0.0000 10.4750 0.0000 -2.1143 0.0000 12.8110" Properties=species:S:1:pos:R:3 pbc="T T T"
Re 0.4034 0.2192 3.7850
Re -0.6538 5.0183 10.1905
Re 4.3422 5.4567 2.6205
Re 3.2850 10.2558 9.0260
Sb 1.7596 7.8217 6.4397
Sb 2.8168 7.8908 0.0342
Sb 0.8716 2.5842 12.7767
Sb 1.9288 2.6533 6.3713
O -0.4308 1.5462 3.1967
O -1.4880 3.6913 9.6022
O 5.1764 6.7837 3.2088
O 4.1192 8.9288 9.6143
F -1.1752 0.7785 8.1739
F -0.1180 4.4590 1.7685
F -0.7375 6.2037 8.7592
F 0.3197 9.5088 2.3537
F 1.3088 6.9785 0.7146
F 0.2516 8.7340 7.1201
F 1.3299 2.0409 0.6858
F 0.2727 3.1966 7.0913
F 0.7826 6.3926 5.7003
F -0.2745 9.3199 12.1058
F 0.8236 1.0001 5.6276
F -0.2336 4.2374 12.0331
F 0.4915 1.8134 11.0925
F 1.5487 3.4241 4.6870
F 0.5306 6.7419 11.2449
F 1.5878 8.9706 4.8394
F 2.1983 0.5593 3.3517
F 1.1411 4.6782 9.7572
F 2.5473 5.7968 3.0538
F 1.4901 9.9157 9.4592
F 2.1006 1.5044 7.9716
F 3.1577 3.7331 1.5661
F 2.1397 7.0509 8.1240
F 3.1969 8.6616 1.7185
F 3.9220 6.2376 0.7778
F 2.8648 9.4749 7.1833
F 3.9629 1.1551 0.7052
F 2.9057 4.0824 7.1107
F 3.4156 7.2784 5.7196
F 2.3585 8.4341 12.1251
F 3.4368 1.7410 5.6908
F 2.3796 3.4965 12.0963
F 3.3687 0.9662 10.4572
F 4.4259 4.2713 4.0518
F 3.8064 6.0160 11.0425
F 4.8636 9.6965 4.6370
```

Most intense lines, 2θ = 10–90°, most intense first:
- 21.92 deg, rel. 100
- 19.03 deg, rel. 73
- 19.88 deg, rel. 54
- 23.01 deg, rel. 42
- 18.02 deg, rel. 35
- 22.48 deg, rel. 28
- 49.20 deg, rel. 21
- 34.25 deg, rel. 21

No. 7
Starting from a PBE-relaxed structure, the powder diffraction line list of LaSb3Au was calculated for Cu Kα, 1.54184 Å.
Lines closer than 0.1° are merged.

Cell and atoms:
```
20
Lattice="13.1527 0.0000 0.0000 0.0000 6.4114 0.0000 0.0000 0.0000 6.4909" Properties=species:S:1:pos:R:3 pbc="T T T"
La 2.4936 0.0211 1.6227
La 2.4936 3.1846 4.8682
La 10.6591 3.2268 1.6227
La 10.6591 6.3903 4.8682
Sb 0.0180 1.6029 0.0000
Sb 0.0180 1.6029 3.2455
Sb 3.4074 3.2522 1.6227
Sb 3.4074 6.3649 4.8682
Sb 5.7905 4.2391 4.8682
Sb 5.7905 5.3780 1.6227
Sb 7.3622 1.0334 4.8682
Sb 7.3622 2.1723 1.6227
Sb 9.7453 0.0465 1.6227
Sb 9.7453 3.1592 4.8682
Sb 13.1347 4.8086 0.0000
Sb 13.1347 4.8086 3.2455
Au 5.1057 1.6029 0.0000
Au 5.1057 1.6029 3.2455
Au 8.0471 4.8086 0.0000
Au 8.0471 4.8086 3.2455
```

Most intense lines, 2θ = 10–90°, most intense first:
- 31.04 deg, rel. 100
- 39.51 deg, rel. 86
- 33.82 deg, rel. 63
- 34.38 deg, rel. 61
- 34.08 deg, rel. 50
- 37.21 deg, rel. 48
- 33.60 deg, rel. 47
- 30.72 deg, rel. 47

Number 2 is which compound? Nd8NiPt3Cl4

Number 4 is which compound? ScCoSN2